Calculated XRD peak list
Compound: RbLaMg6O8
Radiation: Cu Ka
Structure: a DFT-relaxed cell (GGA-PBE, the Materials Project)

Cell and atoms:
Cell: 4.737 4.737 9.124 Å, 90.00 90.00 90.00°
Space group P4/mmm (No. 123)
Inequivalent atoms, fractional coordinates:
Rb  0.000  0.000  0.000 x1
La  0.500  0.500  0.000 x1
Mg  0.000  0.000  0.500 x1
Mg  0.000  0.500  0.277 x4
Mg  0.500  0.500  0.500 x1
O  0.000  0.000  0.286 x2
O  0.000  0.500  0.000 x2
O  0.000  0.500  0.500 x2
O  0.500  0.500  0.273 x2

Top 10 peaks for 10° ≤ 2θ ≤ 80°, sorted by position:
(0 0 2), 2θ 19.5, I = 35
(1 1 0), 2θ 26.6, I = 29
(1 1 1), 2θ 28.4, I = 53
(0 0 3), 2θ 29.4, I = 26
(1 1 2), 2θ 33.2, I = 66
(2 0 0), 2θ 38.0, I = 100
(0 0 4), 2θ 39.5, I = 38
(2 2 0), 2θ 54.8, I = 31
(2 0 4), 2θ 56.0, I = 50
(2 2 4), 2θ 69.6, I = 24